Diffraction record for CaCd2WO6. The X-ray powder pattern is computed, not measured: it uses DFT lattice parameters and positions (GGA+U) and Cu Ka.
Peak positions follow from Bragg's law for the DFT cell and can differ from measured ones.

Structural model:
Lattice parameters (Å, degrees): 5.6299 5.7511 9.9161 90.00 124.07 90.00
Space group P2_1/c (No. 14)
Inequivalent atoms, fractional coordinates:
Ca1 0.0000 0.0000 0.0000
Cd1 0.2443 0.0398 0.7431
W1 0.5000 0.0000 0.5000
O1 0.1665 0.0747 0.2756
O2 0.2518 0.6633 0.0464
O3 0.4243 0.2126 0.0758

Principal peaks in the range 10 to 80 degrees two-theta, by angle:
2theta	I (rel.)	(hkl)
18.8	35.2	0 1 1
19.0	13.3	1 0 0
19.2	12.1	1 0 -2
31.0	100.0	1 1 1
31.2	68.5	1 1 -3
31.8	33.0	2 0 -2
44.1	17.0	0 0 4
45.1	28.4	2 2 -2
54.9	14.8	0 2 4
55.4	12.2	1 3 -3
56.0	15.0	3 1 -1
56.4	16.5	3 1 -5